Pm2TmRh2: computed powder X-ray diffraction pattern (Cu Kα X-rays), based on DFT lattice parameters and positions (GGA-PBE).

Structure:
Lattice parameters (Å, degrees): 9.679 7.113 7.569 90.00 102.46 90.00
Space group P2_1/c (No. 14)
Inequivalent atoms, fractional coordinates:
Pm (0.057, 0.230, 0.004) (multiplicity 4)
Pm (0.273, 0.651, 0.911) (multiplicity 4)
Tm (0.408, 0.152, 0.805) (multiplicity 4)
Rh (0.143, 0.528, 0.238) (multiplicity 4)
Rh (0.326, 0.019, 0.101) (multiplicity 4)

Top 10 peaks for 10° ≤ 2θ ≤ 90°, sorted by position:
(hkl)	2θ/deg	I_rel
1 0 2	27.80	53
2 1 -2	30.05	99
1 2 1	30.27	81
3 1 0	31.05	100
3 1 1	35.61	33
1 2 2	37.72	66
1 1 -3	37.87	63
2 3 -1	43.26	64
4 1 1	44.57	23
3 3 -1	48.03	22

PmTmRh: computed powder X-ray diffraction pattern (Cu Kα X-rays), based on DFT lattice parameters and positions (GGA-PBE).

Structure:
Lattice parameters (Å, degrees): 6.845 6.845 6.845 90.00 90.00 90.00
Space group F-43m (No. 216)
Inequivalent atoms, fractional coordinates:
Pm (0.000, 0.000, 0.000) (multiplicity 4)
Tm (0.000, 0.000, 0.500) (multiplicity 4)
Rh (0.250, 0.250, 0.750) (multiplicity 4)

Top 10 peaks for 10° ≤ 2θ ≤ 90°, sorted by position:
(hkl)	2θ/deg	I_rel
1 1 1	22.50	16
2 0 0	26.03	31
2 2 0	37.15	100
3 1 1	43.87	8
2 2 2	45.93	9
4 0 0	53.55	17
4 2 0	60.49	12
4 2 2	66.97	35
4 4 0	79.15	11
6 0 0	85.02	6

Pm2Tm5Rh4: computed powder X-ray diffraction pattern (Cu Kα X-rays), based on DFT lattice parameters and positions (GGA-PBE).

Structure:
Lattice parameters (Å, degrees): 23.977 3.540 6.826 90.00 93.54 90.00
Space group C2/m (No. 12)
Inequivalent atoms, fractional coordinates:
Pm (0.087, 0.000, 0.161) (multiplicity 4)
Tm (0.000, 0.500, 0.500) (multiplicity 2)
Tm (0.134, 0.000, 0.681) (multiplicity 4)
Tm (0.233, 0.000, 0.218) (multiplicity 4)
Rh (0.028, 0.000, 0.799) (multiplicity 4)
Rh (0.169, 0.500, 0.979) (multiplicity 4)

Top 10 peaks for 10° ≤ 2θ ≤ 90°, sorted by position:
(hkl)	2θ/deg	I_rel
2 0 -1	14.56	31
1 1 0	25.43	36
2 0 -2	26.76	27
3 1 1	30.89	82
8 0 -1	31.92	80
6 0 2	35.70	31
1 1 2	36.98	100
9 1 1	45.30	36
0 2 0	51.63	32
7 1 -3	53.71	26

PmTmRh: computed powder X-ray diffraction pattern (Cu Kα X-rays), based on DFT lattice parameters and positions (GGA-PBE).

Structure:
Lattice parameters (Å, degrees): 5.935 4.224 7.266 90.00 113.74 90.00
Space group P2/m (No. 10)
Inequivalent atoms, fractional coordinates:
Pm (0.011, 0.000, 0.248) (multiplicity 2)
Tm (0.489, 0.500, 0.752) (multiplicity 2)
Rh (0.000, 0.500, 0.500) (multiplicity 1)
Rh (0.500, 0.000, 0.000) (multiplicity 1)

Top 10 peaks for 10° ≤ 2θ ≤ 90°, sorted by position:
(hkl)	2θ/deg	I_rel
1 0 -1	16.39	19
1 0 1	24.98	20
0 0 2	26.76	64
2 0 0	32.97	50
1 1 -2	33.01	100
1 1 2	42.87	73
3 1 -2	51.51	28
2 2 0	55.08	23
0 0 4	55.21	23
0 2 4	72.30	20

Pm4YRh4: computed powder X-ray diffraction pattern (Cu Kα X-rays), based on DFT lattice parameters and positions (GGA-PBE).

Structure:
Lattice parameters (Å, degrees): 8.911 8.911 5.753 90.00 90.00 90.00
Space group P4_2/n (No. 86, origin choice 2)
Inequivalent atoms, fractional coordinates:
Pm (0.062, 0.666, 0.156) (multiplicity 8)
Y (0.250, 0.250, 0.250) (multiplicity 2)
Rh (0.024, 0.628, 0.649) (multiplicity 8)

Top 10 peaks for 10° ≤ 2θ ≤ 90°, sorted by position:
(hkl)	2θ/deg	I_rel
1 1 0	14.06	14
2 1 1	27.22	18
1 3 0	31.76	100
1 0 2	32.71	44
1 2 2	38.60	30
3 0 2	43.81	17
1 3 2	45.04	12
4 2 0	45.52	32
3 2 2	48.57	29
4 1 2	52.99	18

PmY3Rh3: computed powder X-ray diffraction pattern (Cu Kα X-rays), based on DFT lattice parameters and positions (GGA-PBE).

Structure:
Lattice parameters (Å, degrees): 9.450 10.239 6.884 90.00 90.31 90.00
Space group C2/m (No. 12)
Inequivalent atoms, fractional coordinates:
Pm (0.246, 0.000, 0.401) (multiplicity 4)
Y (0.000, 0.253, 0.500) (multiplicity 4)
Y (0.000, 0.313, 0.000) (multiplicity 4)
Y (0.186, 0.000, 0.906) (multiplicity 4)
Rh (0.050, 0.500, 0.294) (multiplicity 4)
Rh (0.249, 0.253, 0.234) (multiplicity 8)

Top 10 peaks for 10° ≤ 2θ ≤ 90°, sorted by position:
(hkl)	2θ/deg	I_rel
1 1 0	12.75	35
1 1 2	28.98	45
2 0 2	32.26	23
3 1 -1	32.40	19
0 4 0	35.06	64
2 2 -2	36.69	100
2 2 2	36.84	44
4 0 0	38.09	40
1 3 2	38.38	36
4 4 0	52.73	22